Diffraction record for V3H6O10. The powder X-ray diffraction pattern is computed, not measured: it uses a structure optimized by DFT (PBE+U) and Cu Kα X-rays.
Lines closer than 0.1° are merged.

Peak list (8 most intense, 2θ from 15° to 90°, sorted by position)
2θ 22.03, I 82
2θ 22.20, I 100
2θ 25.38, I 51
2θ 25.57, I 47
2θ 25.86, I 44
2θ 27.64, I 54
2θ 29.81, I 86
2θ 31.38, I 45

Cell and atoms:
```
data_V3H6O10
_cell_length_a 6.030
_cell_length_b 8.982
_cell_length_c 9.052
_cell_angle_alpha 90.38
_cell_angle_beta 96.02
_cell_angle_gamma 91.60
_space_group_name_H-M_alt 'P 1'
_space_group_IT_number 1
loop_
_space_group_symop_operation_xyz
'x,y,z'
loop_
_atom_site_label
_atom_site_type_symbol
_atom_site_fract_x
_atom_site_fract_y
_atom_site_fract_z
V1 V 0.000 0.000 0.000
V2 V 0.002 0.374 0.143
V3 V 0.024 0.240 0.510
V4 V 0.975 0.870 0.639
V5 V 0.983 0.517 0.782
V6 V 0.996 0.741 0.276
H1 H 0.371 0.730 0.604
H2 H 0.378 0.609 0.946
H3 H 0.392 0.017 0.103
H4 H 0.405 0.230 0.631
H5 H 0.405 0.706 0.113
H6 H 0.409 0.528 0.110
H7 H 0.411 0.685 0.433
H8 H 0.458 0.958 0.316
H9 H 0.560 0.122 0.306
H10 H 0.603 0.300 0.832
H11 H 0.610 0.130 0.800
H12 H 0.612 0.652 0.581
O1 O 0.249 0.855 0.662
O2 O 0.256 0.559 0.819
O3 O 0.278 0.393 0.157
O4 O 0.282 0.752 0.298
O5 O 0.289 0.984 0.007
O6 O 0.316 0.239 0.526
O7 O 0.449 0.651 0.543
O8 O 0.463 0.623 0.058
O9 O 0.513 0.215 0.788
O10 O 0.526 0.029 0.251
O11 O 0.849 0.677 0.708
O12 O 0.879 0.963 0.822
O13 O 0.883 0.450 0.943
O14 O 0.886 0.790 0.439
O15 O 0.906 0.864 0.126
O16 O 0.910 0.562 0.225
O17 O 0.916 0.068 0.553
O18 O 0.924 0.284 0.331
O19 O 0.932 0.173 0.055
O20 O 0.940 0.372 0.641
```